Structure and simulated powder diffraction line list of La2NdBi2 (a cell relaxed with GGA-PBE; Cu Kα X-rays).
Lines closer than 0.1° are merged.

Crystal structure
```
data_La2NdBi2
_space_group_name_H-M_alt 'I b a m'
_space_group_IT_number 72
_space_group_name_Hall '-I 2 2c'
_cell_length_a 9.1218
_cell_length_b 12.4138
_cell_length_c 6.5759
_cell_angle_alpha 90.00
_cell_angle_beta 90.00
_cell_angle_gamma 90.00
loop_
_atom_site_label
_atom_site_fract_x
_atom_site_fract_y
_atom_site_fract_z
_atom_site_occupancy
La1 0.1421 0.1479 0.0000 1
Nd1 0.0000 0.5000 0.2500 1
Bi1 0.2192 0.1116 0.5000 1
```

Most intense lines, 15 to 90 degrees two-theta, in order of rising 2θ:
index, 2theta, I (rel.)
1 2 1, 22.0, 57
1 3 0, 23.6, 81
0 0 2, 27.1, 69
1 1 2, 29.8, 71
3 1 0, 30.3, 77
2 0 2, 33.6, 94
2 4 0, 35.0, 76
3 2 1, 35.6, 98
0 4 2, 39.9, 100
3 3 2, 46.2, 54